Calculated X-ray powder pattern
Compound: Tb2NdIn3PtAu2
Radiation: Cu Kα (λ = 1.5418 Å)
Structure: DFT lattice parameters and positions (GGA-PBE)
No peak broadening, texture or thermal motion is included.

Cell and atoms:
Lattice parameters (Å, degrees): 4.004 7.780 7.780 120.19 90.00 90.00
Element x y z (fractional)
Tb 0.000 0.200 0.800
Tb 0.000 0.800 0.200
Nd 0.000 0.603 0.603
In 0.500 0.198 0.454
In 0.500 0.454 0.198
In 0.500 0.947 0.947
Pt 0.000 0.196 0.196
Au 0.500 0.532 0.871
Au 0.500 0.871 0.532

Main lines, by intensity (2θ from 10° to 80°):
- d = 2.576 Å, 34.83 deg, I 100
- d = 2.788 Å, 32.10 deg, I 85
- d = 2.241 Å, 40.23 deg, I 36
- d = 2.149 Å, 42.05 deg, I 31
- d = 1.494 Å, 62.14 deg, I 30
- d = 2.002 Å, 45.30 deg, I 27
- d = 1.442 Å, 64.64 deg, I 25
- d = 2.546 Å, 35.25 deg, I 24
- d = 3.886 Å, 22.88 deg, I 18
- d = 2.248 Å, 40.11 deg, I 18
- d = 1.573 Å, 58.68 deg, I 16
- d = 2.144 Å, 42.14 deg, I 14